Starting from a crystal structure in Alexandria, relaxed with GGA-PBE, the XRD peak list of AcLa5Sc was computed for Cu Ka.
Intensities are scaled so that the largest is 100.

Peak list (6 most intense, 2θ = 10–80°, most intense first)
hkl, 2θ/deg, intensity
1 1 2, 30.63, 100
2 0 0, 32.52, 52
1 1 1, 25.00, 50
3 1 2, 56.84, 35
2 0 3, 45.11, 26
2 2 0, 46.65, 19

Structure:
```
AcLa5Sc
1.0
5.507 0.000 0.000
0.000 5.507 0.000
0.000 0.000 8.822
Ac La Sc
1 5 1
Cartesian
0.000 0.000 0.000
0.000 2.753 2.619
0.000 2.753 6.203
2.753 0.000 2.619
2.753 0.000 6.203
2.753 2.753 0.000
0.000 0.000 4.411
```



Starting from a crystal structure in Alexandria, relaxed with GGA-PBE, the XRD peak list of Tl3Se was computed for Cu Ka.
Intensities are scaled so that the largest is 100.

Peak list (6 most intense, 2θ = 10–80°, most intense first)
hkl, 2θ/deg, intensity
1 0 2, 31.91, 100
1 0 0, 25.07, 41
1 1 0, 44.16, 33
1 0 1, 26.93, 22
2 0 2, 55.50, 21
2 1 2, 73.51, 19

Structure:
```
Tl3Se
1.0
4.102 0.000 0.000
-2.051 3.552 0.000
0.000 0.000 9.141
Tl Se
3 1
Cartesian
0.000 0.000 0.000
2.051 1.184 2.700
2.051 1.184 6.440
0.000 0.000 4.570
```